SiO2: calculated powder diffraction line list (Cu Kα (λ = 1.5418 Å)), based on the GGA-PBE geometry in the Materials Project.
Lines closer than 0.1° are merged.

Structural model:
Cell lengths 4.934, 6.781, 7.005 Å; angles 117.21, 96.35, 103.42 degrees
Space group P1 (No. 1)
Asymmetric unit:
Si1 0.000 0.000 0.000
Si2 0.148 0.537 0.285
Si3 0.488 0.829 0.131
Si4 0.734 0.823 0.511
O1 0.017 0.258 0.193
O2 0.268 0.582 0.092
O3 0.306 0.960 0.051
O4 0.424 0.659 0.502
O5 0.654 0.977 0.399
O6 0.738 0.797 0.996
O7 0.899 0.653 0.356
O8 0.934 0.989 0.761

Most intense lines, 2θ = 15–90°, in order of falling intensity:
- 2θ = 15.51°, I = 100
- 2θ = 20.42°, I = 46
- 2θ = 25.45°, I = 25
- 2θ = 15.12°, I = 24
- 2θ = 26.99°, I = 20
- 2θ = 21.01°, I = 20
- 2θ = 25.61°, I = 19
- 2θ = 23.41°, I = 14
- 2θ = 31.07°, I = 12
- 2θ = 36.91°, I = 12